[1]
For Pm2Sm2YTm, a crystal structure in Alexandria, relaxed with GGA-PBE gives the theoretical powder diffractogram in this record (Cu Kα).
Intensities are scaled so that the largest is 100.

Principal peaks in the range 15 to 90 degrees two-theta, in order of rising 2θ:
- 2θ 25.2, d = 3.538 Å, rel. 11
- 2θ 31.1, d = 2.872 Å, rel. 85
- 2θ 31.5, d = 2.840 Å, rel. 100
- 2θ 40.7, d = 2.215 Å, rel. 19
- 2θ 44.9, d = 2.020 Å, rel. 31
- 2θ 55.9, d = 1.646 Å, rel. 32
- 2θ 56.1, d = 1.640 Å, rel. 19
- 2θ 61.8, d = 1.502 Å, rel. 29
- 2θ 65.8, d = 1.420 Å, rel. 12
- 2θ 74.5, d = 1.273 Å, rel. 13
- 2θ 79.7, d = 1.203 Å, rel. 14
- 2θ 88.2, d = 1.107 Å, rel. 11

Atomic structure:
Cell: 7.076 5.678 9.843 Å, 90.00 90.00 90.00°
Space group Pmma (No. 51)
Inequivalent atoms, fractional coordinates:
Pm (0.250, 0.000, 0.160)
Pm (0.250, 0.500, 0.672)
Sm (0.000, 0.500, 0.000)
Sm (0.250, 0.000, 0.824)
Y (0.000, 0.000, 0.500)
Tm (0.250, 0.500, 0.340)

[2]
For SmY4Ho4, a crystal structure in Alexandria, relaxed with GGA-PBE gives the theoretical powder diffractogram in this record (Cu Kα).
Intensities are scaled so that the largest is 100.

Principal peaks in the range 15 to 90 degrees two-theta, in order of rising 2θ:
- 2θ 16.6, d = 5.338 Å, rel. 3
- 2θ 19.5, d = 4.546 Å, rel. 4
- 2θ 30.8, d = 2.904 Å, rel. 100
- 2θ 35.2, d = 2.551 Å, rel. 2
- 2θ 35.7, d = 2.515 Å, rel. 50
- 2θ 51.4, d = 1.778 Å, rel. 36
- 2θ 61.1, d = 1.517 Å, rel. 42
- 2θ 64.1, d = 1.452 Å, rel. 12
- 2θ 75.6, d = 1.258 Å, rel. 4
- 2θ 83.8, d = 1.154 Å, rel. 17
- 2θ 86.5, d = 1.125 Å, rel. 11
- 2θ 86.6, d = 1.124 Å, rel. 5

Atomic structure:
Cell: 10.676 10.676 5.024 Å, 90.00 90.00 90.00°
Space group I4/mmm (No. 139)
Inequivalent atoms, fractional coordinates:
Sm (0.000, 0.000, 0.000)
Y (0.167, 0.167, 0.500)
Ho (0.000, 0.335, 0.000)

[3]
For La9HoTm2, a crystal structure in Alexandria, relaxed with GGA-PBE gives the theoretical powder diffractogram in this record (Cu Kα).
Intensities are scaled so that the largest is 100.

Principal peaks in the range 15 to 90 degrees two-theta, in order of rising 2θ:
- 2θ 17.1, d = 5.189 Å, rel. 1
- 2θ 24.3, d = 3.669 Å, rel. 1
- 2θ 29.8, d = 2.996 Å, rel. 100
- 2θ 34.6, d = 2.594 Å, rel. 51
- 2θ 49.7, d = 1.834 Å, rel. 36
- 2θ 59.0, d = 1.564 Å, rel. 43
- 2θ 62.0, d = 1.498 Å, rel. 12
- 2θ 72.9, d = 1.297 Å, rel. 6
- 2θ 80.7, d = 1.190 Å, rel. 18
- 2θ 83.3, d = 1.160 Å, rel. 16

Atomic structure:
Cell: 5.189 5.189 15.566 Å, 90.00 90.00 90.00°
Space group P4/mmm (No. 123)
Inequivalent atoms, fractional coordinates:
La (0.000, 0.000, 0.000)
La (0.000, 0.000, 0.333)
La (0.000, 0.500, 0.167)
La (0.000, 0.500, 0.500)
Ho (0.500, 0.500, 0.000)
Tm (0.500, 0.500, 0.334)